# La6Tl2FeH
Simulated powder X-ray diffraction pattern, a wavelength of 1.5418 Å. Input: the PBE geometry in Alexandria.
Intensities are scaled so that the largest is 100.

Peak list (10 most intense, 10° ≤ 2θ ≤ 90°, by intensity)
- 29.4°, d = 3.042 Å, intensity 100.0
- 32.7°, d = 2.738 Å, intensity 34.5
- 29.4°, d = 3.034 Å, intensity 34.0
- 34.6°, d = 2.589 Å, intensity 24.3
- 34.8°, d = 2.579 Å, intensity 24.2
- 48.5°, d = 1.878 Å, intensity 18.8
- 49.9°, d = 1.827 Å, intensity 14.3
- 56.3°, d = 1.633 Å, intensity 12.5
- 28.5°, d = 3.135 Å, intensity 9.8
- 48.5°, d = 1.876 Å, intensity 9.6

Atomic structure:
```
data_La6Tl2FeH
_cell_length_a 7.3089
_cell_length_b 7.3090
_cell_length_c 7.5157
_cell_angle_alpha 119.05
_cell_angle_beta 118.77
_cell_angle_gamma 90.21
_space_group_name_H-M_alt 'P 1'
_space_group_IT_number 1
loop_
_space_group_symop_operation_xyz
'x,y,z'
loop_
_atom_site_label
_atom_site_fract_x
_atom_site_fract_y
_atom_site_fract_z
La1 0.0000 0.0000 0.0000
La2 0.0205 0.5285 0.4822
La3 0.0845 0.5164 0.0113
La4 0.4825 0.0725 0.9910
La5 0.5449 0.0607 0.5201
La6 0.5666 0.5895 0.0023
Tl1 0.0320 0.0436 0.5011
Tl2 0.5338 0.5455 0.5013
Fe1 0.2827 0.7959 0.0011
H1 0.7839 0.2958 0.0012
```

# Li5Fe2H12
Simulated powder X-ray diffraction pattern, a wavelength of 1.5418 Å. Input: the PBE geometry in Alexandria.
Intensities are scaled so that the largest is 100.

Peak list (10 most intense, 10° ≤ 2θ ≤ 90°, by intensity)
- 18.8°, d = 4.712 Å, intensity 100.0
- 18.9°, d = 4.685 Å, intensity 97.0
- 37.0°, d = 2.433 Å, intensity 70.1
- 24.3°, d = 3.666 Å, intensity 43.8
- 40.1°, d = 2.247 Å, intensity 31.7
- 29.2°, d = 3.060 Å, intensity 26.2
- 43.4°, d = 2.083 Å, intensity 25.4
- 38.2°, d = 2.356 Å, intensity 18.9
- 31.5°, d = 2.843 Å, intensity 18.5
- 39.8°, d = 2.265 Å, intensity 15.8

Atomic structure:
```
data_Li5Fe2H12
_cell_length_a 5.5460
_cell_length_b 5.5460
_cell_length_c 4.7887
_cell_angle_alpha 98.82
_cell_angle_beta 98.82
_cell_angle_gamma 61.69
_space_group_name_H-M_alt 'P 1'
_space_group_IT_number 1
loop_
_space_group_symop_operation_xyz
'x,y,z'
loop_
_atom_site_label
_atom_site_fract_x
_atom_site_fract_y
_atom_site_fract_z
Li1 0.0000 0.0000 0.0000
Li2 0.2422 0.2422 0.4610
Li3 0.3697 0.3697 0.0066
Li4 0.6303 0.6303 0.9934
Li5 0.7578 0.7578 0.5390
Fe1 0.2506 0.7494 0.5000
Fe2 0.7494 0.2506 0.5000
H1 0.0701 0.0701 0.6309
H2 0.1146 0.5937 0.2709
H3 0.1289 0.6706 0.7348
H4 0.3294 0.8711 0.2652
H5 0.4063 0.8854 0.7291
H6 0.4596 0.4596 0.6409
H7 0.5404 0.5404 0.3591
H8 0.5937 0.1146 0.2709
H9 0.6706 0.1289 0.7348
H10 0.8711 0.3294 0.2652
H11 0.8854 0.4063 0.7291
H12 0.9299 0.9299 0.3691
```

# Li3FeH6
Simulated powder X-ray diffraction pattern, a wavelength of 1.5418 Å. Input: the PBE geometry in Alexandria.
Intensities are scaled so that the largest is 100.

Peak list (10 most intense, 10° ≤ 2θ ≤ 90°, by intensity)
- 23.1°, d = 3.846 Å, intensity 100.0
- 27.1°, d = 3.296 Å, intensity 72.3
- 38.5°, d = 2.340 Å, intensity 66.1
- 23.0°, d = 3.862 Å, intensity 55.5
- 23.5°, d = 3.785 Å, intensity 46.6
- 37.9°, d = 2.375 Å, intensity 45.8
- 26.4°, d = 3.371 Å, intensity 36.8
- 38.8°, d = 2.321 Å, intensity 20.2
- 45.3°, d = 2.003 Å, intensity 19.9
- 55.8°, d = 1.648 Å, intensity 16.3

Atomic structure:
```
data_Li3FeH6
_cell_length_a 4.6795
_cell_length_b 4.6795
_cell_length_c 4.6423
_cell_angle_alpha 118.71
_cell_angle_beta 118.71
_cell_angle_gamma 60.04
_space_group_name_H-M_alt 'P 1'
_space_group_IT_number 1
loop_
_space_group_symop_operation_xyz
'x,y,z'
loop_
_atom_site_label
_atom_site_fract_x
_atom_site_fract_y
_atom_site_fract_z
Li1 0.0000 0.0000 0.0000
Li2 0.2454 0.2454 0.7286
Li3 0.7546 0.7546 0.2714
Fe1 0.5000 0.5000 0.5000
H1 0.2043 0.6761 0.6666
H2 0.2764 0.2764 0.1793
H3 0.3239 0.7957 0.3334
H4 0.6761 0.2043 0.6666
H5 0.7236 0.7236 0.8207
H6 0.7957 0.3239 0.3334
```

# LiFeH
Simulated powder X-ray diffraction pattern, a wavelength of 1.5418 Å. Input: the PBE geometry in Alexandria.
Intensities are scaled so that the largest is 100.

Peak list (10 most intense, 10° ≤ 2θ ≤ 90°, by intensity)
- 16.2°, d = 5.456 Å, intensity 100.0
- 46.3°, d = 1.960 Å, intensity 42.2
- 40.3°, d = 2.239 Å, intensity 41.6
- 28.0°, d = 3.183 Å, intensity 35.9
- 43.1°, d = 2.100 Å, intensity 35.7
- 49.6°, d = 1.838 Å, intensity 23.4
- 70.2°, d = 1.341 Å, intensity 14.8
- 39.8°, d = 2.263 Å, intensity 11.5
- 49.4°, d = 1.844 Å, intensity 10.3
- 55.7°, d = 1.650 Å, intensity 10.0

Atomic structure:
```
data_LiFeH
_cell_length_a 2.4876
_cell_length_b 3.9184
_cell_length_c 5.4559
_cell_angle_alpha 90.00
_cell_angle_beta 90.00
_cell_angle_gamma 90.00
_space_group_name_H-M_alt 'P 1'
_space_group_IT_number 1
loop_
_space_group_symop_operation_xyz
'x,y,z'
loop_
_atom_site_label
_atom_site_fract_x
_atom_site_fract_y
_atom_site_fract_z
Li1 0.2500 0.2500 0.1359
Li2 0.7500 0.7500 0.8641
Fe1 0.2500 0.2500 0.6071
Fe2 0.7500 0.7500 0.3929
H1 0.2500 0.7500 0.1600
H2 0.7500 0.2500 0.8400
```

# Li3FeH6
Simulated powder X-ray diffraction pattern, a wavelength of 1.5418 Å. Input: the PBE geometry in Alexandria.
Intensities are scaled so that the largest is 100.

Peak list (10 most intense, 10° ≤ 2θ ≤ 90°, by intensity)
- 22.7°, d = 3.909 Å, intensity 100.0
- 37.6°, d = 2.391 Å, intensity 39.3
- 26.2°, d = 3.395 Å, intensity 32.4
- 44.3°, d = 2.046 Å, intensity 26.8
- 37.5°, d = 2.401 Å, intensity 25.4
- 26.5°, d = 3.367 Å, intensity 17.8
- 44.6°, d = 2.033 Å, intensity 14.6
- 67.7°, d = 1.384 Å, intensity 14.1
- 46.5°, d = 1.955 Å, intensity 11.9
- 59.6°, d = 1.552 Å, intensity 10.2

Atomic structure:
```
data_Li3FeH6
_cell_length_a 4.7813
_cell_length_b 4.7813
_cell_length_c 4.7813
_cell_angle_alpha 119.72
_cell_angle_beta 119.72
_cell_angle_gamma 90.48
_space_group_name_H-M_alt 'P 1'
_space_group_IT_number 1
loop_
_space_group_symop_operation_xyz
'x,y,z'
loop_
_atom_site_label
_atom_site_fract_x
_atom_site_fract_y
_atom_site_fract_z
Li1 0.0000 0.0000 0.0000
Li2 0.2500 0.7500 0.5000
Li3 0.7500 0.2500 0.5000
Fe1 0.5000 0.5000 0.0000
H1 0.1757 0.5000 0.6757
H2 0.2648 0.2648 0.0000
H3 0.5000 0.1757 0.6757
H4 0.5000 0.8243 0.3243
H5 0.7352 0.7352 0.0000
H6 0.8243 0.5000 0.3243
```

# LiFeH
Simulated powder X-ray diffraction pattern, a wavelength of 1.5418 Å. Input: the PBE geometry in Alexandria.
Intensities are scaled so that the largest is 100.

Peak list (10 most intense, 10° ≤ 2θ ≤ 90°, by intensity)
- 14.1°, d = 6.285 Å, intensity 100.0
- 41.3°, d = 2.187 Å, intensity 11.6
- 40.7°, d = 2.216 Å, intensity 10.5
- 20.0°, d = 4.444 Å, intensity 9.6
- 42.0°, d = 2.150 Å, intensity 9.0
- 46.5°, d = 1.954 Å, intensity 7.9
- 55.2°, d = 1.664 Å, intensity 6.1
- 43.3°, d = 2.090 Å, intensity 5.2
- 38.6°, d = 2.332 Å, intensity 5.2
- 48.6°, d = 1.873 Å, intensity 5.1

Atomic structure:
```
data_LiFeH
_cell_length_a 9.4215
_cell_length_b 9.4215
_cell_length_c 9.4215
_cell_angle_alpha 96.32
_cell_angle_beta 96.32
_cell_angle_gamma 141.25
_space_group_name_H-M_alt 'P 1'
_space_group_IT_number 1
loop_
_space_group_symop_operation_xyz
'x,y,z'
loop_
_atom_site_label
_atom_site_fract_x
_atom_site_fract_y
_atom_site_fract_z
Li1 0.0167 0.3907 0.5737
Li2 0.0569 0.4833 0.8740
Li3 0.1093 0.1830 0.6260
Li4 0.1433 0.0589 0.1246
Li5 0.3170 0.4431 0.9263
Li6 0.4343 0.0188 0.3754
Li7 0.4411 0.0657 0.0845
Li8 0.4812 0.3567 0.4155
Li9 0.5188 0.6433 0.5845
Li10 0.5589 0.9343 0.9155
Li11 0.5657 0.9812 0.6246
Li12 0.6830 0.5569 0.0737
Li13 0.8567 0.9411 0.8754
Li14 0.8907 0.8170 0.3740
Li15 0.9431 0.5167 0.1260
Li16 0.9833 0.6093 0.4263
Fe1 0.0054 0.2753 0.1039
Fe2 0.0699 0.2052 0.3428
Fe3 0.2247 0.8286 0.7301
Fe4 0.2271 0.5699 0.3646
Fe5 0.2948 0.1375 0.8646
Fe6 0.3286 0.0985 0.6039
Fe7 0.3625 0.7271 0.1572
Fe8 0.4015 0.5054 0.2301
Fe9 0.5985 0.4946 0.7699
Fe10 0.6375 0.2729 0.8428
Fe11 0.6714 0.9015 0.3961
Fe12 0.7052 0.8625 0.1354
Fe13 0.7729 0.4301 0.6354
Fe14 0.7753 0.1714 0.2699
Fe15 0.9301 0.7948 0.6572
Fe16 0.9946 0.7247 0.8961
H1 0.0624 0.0498 0.7722
H2 0.1766 0.2743 0.0627
H3 0.2098 0.4376 0.4874
H4 0.2224 0.7098 0.2722
H5 0.2257 0.7883 0.9023
H6 0.2883 0.8860 0.5627
H7 0.3860 0.3234 0.5977
H8 0.4502 0.7224 0.0126
H9 0.5498 0.2776 0.9874
H10 0.6140 0.6766 0.4023
H11 0.7117 0.1140 0.4373
H12 0.7743 0.2117 0.0977
H13 0.7776 0.2902 0.7278
H14 0.7902 0.5624 0.5126
H15 0.8234 0.7257 0.9373
H16 0.9376 0.9502 0.2278
```